Simulated powder diffraction line list of Li6MnV3P6O24 for Cu Kα X-rays, from a crystal structure in the Materials Project, relaxed with GGA+U.
Peak positions follow from Bragg's law for the DFT cell and can differ from measured ones.

Atomic structure:
```
data_Li6MnV3P6O24
_cell_length_a 8.456
_cell_length_b 8.598
_cell_length_c 8.647
_cell_angle_alpha 61.42
_cell_angle_beta 61.75
_cell_angle_gamma 62.78
_symmetry_space_group_name_H-M 'P 1'
_symmetry_Int_Tables_number 1
loop_
_symmetry_equiv_pos_as_xyz
'x,y,z'
loop_
_atom_site_label
_atom_site_type_symbol
_atom_site_fract_x
_atom_site_fract_y
_atom_site_fract_z
Li1 Li 0.000 0.000 0.000
Li2 Li 0.125 0.760 0.338
Li3 Li 0.256 0.516 0.679
Li4 Li 0.383 0.384 0.180
Li5 Li 0.628 0.258 0.839
Li6 Li 0.871 0.132 0.497
Mn1 Mn 0.984 0.621 0.189
V1 V 0.275 0.895 0.481
V2 V 0.491 0.113 0.693
V3 V 0.764 0.404 0.983
P1 P 0.078 0.307 0.587
P2 P 0.180 0.207 0.088
P3 P 0.376 0.709 0.875
P4 P 0.581 0.508 0.375
P5 P 0.679 0.011 0.301
P6 P 0.878 0.807 0.802
O1 O 0.012 0.237 0.039
O2 O 0.042 0.803 0.613
O3 O 0.070 0.493 0.417
O4 O 0.105 0.143 0.540
O5 O 0.159 0.367 0.137
O6 O 0.190 0.021 0.255
O7 O 0.210 0.712 0.066
O8 O 0.245 0.280 0.637
O9 O 0.314 0.723 0.727
O10 O 0.366 0.194 0.919
O11 O 0.385 0.654 0.415
O12 O 0.444 0.871 0.818
O13 O 0.516 0.940 0.363
O14 O 0.522 0.514 0.917
O15 O 0.587 0.345 0.564
O16 O 0.594 0.446 0.227
O17 O 0.659 0.076 0.450
O18 O 0.668 0.176 0.113
O19 O 0.733 0.003 0.760
O20 O 0.746 0.578 0.313
O21 O 0.810 0.644 0.865
O22 O 0.876 0.871 0.262
O23 O 0.891 0.321 0.755
O24 O 0.939 0.797 0.951
```

Main lines, in order of rising 2θ (10 to 90 degrees two-theta):
d (Å), I/Imax
4.395, 43
4.319, 43
4.292, 46
4.225, 45
3.758, 100
3.730, 51
3.701, 47
3.688, 47
3.649, 47
3.117, 30